For ErSiH, a structure optimized by DFT (PBE) gives the simulated PXRD pattern in this record (Cu Kα X-rays).

Most intense lines, 2θ = 5–70°, low angle first:
2θ/deg  Rel. int.  hkl
23.8  30.0  1 0 0
28.1  75.8  0 1 1
31.5  27.4  0 0 2
32.7  73.7  1 0 -2
33.5  100.0  1 1 -1
39.5  21.9  0 1 2
40.5  21.6  1 1 1
52.2  28.0  1 1 2
54.7  24.4  2 1 0
58.8  27.7  1 2 -2

```
ErSiH
1.0
3.9549 0.0000 0.0000
0.0000 3.8355 0.0000
-1.9736 0.0000 5.6823
Er Si H
2 2 2
Direct
0.1471 0.2500 0.2951 Er
0.8529 0.7500 0.7049 Er
0.4399 0.2500 0.8788 Si
0.5601 0.7500 0.1212 Si
0.2532 0.7500 0.5080 H
0.7468 0.2500 0.4920 H
```